# 1
This entry pairs a crystal structure of Pm6Se2S3 with its simulated powder diffractogram. Radiation: λ = 1.5418 Å (Cu Kα). Structure: a cell relaxed with GGA-PBE.
Lines closer than 0.1° are merged.

Crystal structure
a = 20.2007 Å, b = 20.2007 Å, c = 20.2007 Å
α = 11.50°, β = 11.50°, γ = 11.50°
Element x y z (fractional)
Pm 0.0814 0.0814 0.0814
Pm 0.1910 0.1910 0.1910
Pm 0.3607 0.3607 0.3607
Pm 0.6393 0.6393 0.6393
Pm 0.8090 0.8090 0.8090
Pm 0.9186 0.9186 0.9186
Se 0.4450 0.4450 0.4450
Se 0.5550 0.5550 0.5550
S 0.0000 0.0000 0.0000
S 0.2788 0.2788 0.2788
S 0.7212 0.7212 0.7212

Largest 10 diffraction maxima, in order of rising 2θ, 2θ = 5–70°:
Position (°2θ)	I_rel
26.7	17
27.5	32
28.1	15
30.3	100
33.0	16
41.9	13
44.8	46
45.7	23
52.9	16
55.0	18

---

# 2
This entry pairs a crystal structure of NaTl10Sn2 with its simulated powder diffractogram. Radiation: λ = 1.5418 Å (Cu Kα). Structure: a cell relaxed with GGA-PBE.
Lines closer than 0.1° are merged.

Crystal structure
a = 11.3785 Å, b = 8.7949 Å, c = 8.5435 Å
α = 82.02°, β = 49.95°, γ = 48.04°
Element x y z (fractional)
Na 0.0000 0.0000 0.0000
Tl 0.0000 0.0000 0.5000
Tl 0.0055 0.3523 0.6477
Tl 0.2906 0.4970 0.5030
Tl 0.3523 0.0055 0.9945
Tl 0.4970 0.2906 0.7094
Tl 0.5000 0.5000 0.0000
Tl 0.5030 0.7094 0.2906
Tl 0.6477 0.9945 0.0055
Tl 0.7094 0.5030 0.4970
Tl 0.9945 0.6477 0.3523
Sn 0.0000 0.5000 0.0000
Sn 0.5000 0.0000 0.5000

Largest 10 diffraction maxima, in order of rising 2θ, 2θ = 5–70°:
Position (°2θ)	I_rel
27.3	67
31.2	93
31.5	91
31.9	100
32.0	76
35.1	60
35.4	85
35.8	56
35.9	90
56.3	68

---

# 3
This entry pairs a crystal structure of PmPu2Re9 with its simulated powder diffractogram. Radiation: λ = 1.5418 Å (Cu Kα). Structure: a cell relaxed with GGA-PBE.
Lines closer than 0.1° are merged.

Crystal structure
a = 9.4679 Å, b = 9.4679 Å, c = 9.4679 Å
α = 32.75°, β = 32.75°, γ = 32.75°
Element x y z (fractional)
Pm 0.0000 0.0000 0.0000
Pu 0.1453 0.1453 0.1453
Pu 0.8547 0.8547 0.8547
Re 0.0786 0.5858 0.5858
Re 0.3353 0.3353 0.3353
Re 0.4142 0.4142 0.9214
Re 0.4142 0.9214 0.4142
Re 0.5000 0.5000 0.5000
Re 0.5858 0.0786 0.5858
Re 0.5858 0.5858 0.0786
Re 0.6647 0.6647 0.6647
Re 0.9214 0.4142 0.4142

Largest 10 diffraction maxima, in order of rising 2θ, 2θ = 5–70°:
Position (°2θ)	I_rel
30.3	14
33.0	16
33.6	25
39.1	27
39.3	100
40.3	25
41.3	16
41.8	16
42.6	31
63.9	25

---

# 4
This entry pairs a crystal structure of Ge2RuC4Cl6O4 with its simulated powder diffractogram. Radiation: λ = 1.5418 Å (Cu Kα). Structure: a cell relaxed with GGA-PBE.
Lines closer than 0.1° are merged.

Crystal structure
a = 8.7754 Å, b = 10.7276 Å, c = 12.5211 Å
α = 90.00°, β = 129.80°, γ = 90.00°
Element x y z (fractional)
Ge 0.2133 0.1641 0.0052
Ge 0.2133 0.3359 0.5052
Ge 0.7867 0.6641 0.4948
Ge 0.7867 0.8359 0.9948
Ru 0.0000 0.0000 0.0000
Ru 0.0000 0.5000 0.5000
C 0.1395 0.6280 0.4788
C 0.1395 0.8720 0.9788
C 0.1956 0.5166 0.7035
C 0.1956 0.9834 0.2035
C 0.8044 0.0166 0.7965
C 0.8044 0.4834 0.2965
C 0.8605 0.1280 0.0212
C 0.8605 0.3720 0.5212
Cl 0.1192 0.1427 0.4839
Cl 0.1192 0.3573 0.9839
Cl 0.2282 0.1416 0.8382
Cl 0.2282 0.3584 0.3382
Cl 0.4758 0.6619 0.3051
Cl 0.4758 0.8381 0.8051
Cl 0.5242 0.1619 0.1949
Cl 0.5242 0.3381 0.6949
Cl 0.7718 0.6416 0.6618
Cl 0.7718 0.8584 0.1618
Cl 0.8808 0.6427 0.0161
Cl 0.8808 0.8573 0.5161
O 0.2205 0.7021 0.4656
O 0.2205 0.7979 0.9656
O 0.3087 0.5259 0.8222
O 0.3087 0.9741 0.3222
O 0.6913 0.0259 0.6778
O 0.6913 0.4741 0.1778
O 0.7795 0.2021 0.0344
O 0.7795 0.2979 0.5344

Largest 10 diffraction maxima, in order of rising 2θ, 2θ = 5–70°:
Position (°2θ)	I_rel
12.4	100
13.1	53
14.2	25
15.5	41
16.4	36
18.4	34
26.3	33
26.9	25
28.9	24
33.2	23

---

# 5
This entry pairs a crystal structure of Cs2NaGa2H6 with its simulated powder diffractogram. Radiation: λ = 1.5418 Å (Cu Kα). Structure: a cell relaxed with GGA-PBE.
Lines closer than 0.1° are merged.

Crystal structure
a = 6.6050 Å, b = 6.6050 Å, c = 7.9820 Å
α = 122.77°, β = 122.77°, γ = 55.00°
Element x y z (fractional)
Cs 0.2250 0.2250 0.2137
Cs 0.7750 0.7750 0.7863
Na 0.0000 0.0000 0.5000
Ga 0.4653 0.4653 0.8190
Ga 0.5347 0.5347 0.1810
H 0.2703 0.6991 0.2519
H 0.2888 0.2888 0.6448
H 0.3009 0.7297 0.7481
H 0.6991 0.2703 0.2519
H 0.7112 0.7112 0.3552
H 0.7297 0.3009 0.7481

Largest 10 diffraction maxima, in order of rising 2θ, 2θ = 5–70°:
Position (°2θ)	I_rel
18.3	32
22.4	28
25.9	60
27.3	100
27.8	18
28.2	27
29.3	47
37.0	36
41.1	18
50.7	18

---

# 6
This entry pairs a crystal structure of Er2CoSi5 with its simulated powder diffractogram. Radiation: λ = 1.5418 Å (Cu Kα). Structure: a cell relaxed with GGA-PBE.
Lines closer than 0.1° are merged.

Crystal structure
a = 5.9220 Å, b = 5.9220 Å, c = 5.9220 Å
α = 122.76°, β = 122.76°, γ = 85.29°
Element x y z (fractional)
Er 0.0000 0.5000 0.5000
Er 0.5000 0.0000 0.5000
Co 0.1972 0.1972 0.0000
Si 0.5221 0.5221 0.5636
Si 0.5221 0.9585 0.0000
Si 0.9428 0.9428 0.0000
Si 0.9585 0.5221 0.0000
Si 0.9585 0.9585 0.4364

Largest 10 diffraction maxima, in order of rising 2θ, 2θ = 5–70°:
Position (°2θ)	I_rel
22.2	44
30.3	100
31.5	34
37.8	69
41.5	18
45.2	34
47.5	26
55.4	33
63.0	19
67.7	17

---

# 7
This entry pairs a crystal structure of Ac5CoHg with its simulated powder diffractogram. Radiation: λ = 1.5418 Å (Cu Kα). Structure: a cell relaxed with GGA-PBE.
Lines closer than 0.1° are merged.

Crystal structure
a = 7.2308 Å, b = 7.2308 Å, c = 10.2831 Å
α = 96.75°, β = 96.75°, γ = 97.90°
Element x y z (fractional)
Ac 0.0776 0.6500 0.3650
Ac 0.1211 0.8789 0.7500
Ac 0.2218 0.3663 0.0006
Ac 0.3500 0.9224 0.1350
Ac 0.3663 0.2218 0.5006
Ac 0.6337 0.7782 0.4994
Ac 0.6500 0.0776 0.8650
Ac 0.7782 0.6337 0.9994
Ac 0.8789 0.1211 0.2500
Ac 0.9224 0.3500 0.6350
Co 0.0000 0.0000 0.0000
Co 0.0000 0.0000 0.5000
Hg 0.4307 0.5693 0.7500
Hg 0.5693 0.4307 0.2500

Largest 10 diffraction maxima, in order of rising 2θ, 2θ = 5–70°:
Position (°2θ)	I_rel
25.5	11
27.7	43
28.3	100
28.7	25
29.6	29
39.3	16
40.8	9
50.0	10
51.0	13
55.6	12

---

# 8
This entry pairs a crystal structure of Y5Si10Ir4 with its simulated powder diffractogram. Radiation: λ = 1.5418 Å (Cu Kα). Structure: a cell relaxed with GGA-PBE.
Lines closer than 0.1° are merged.

Crystal structure
a = 12.6565 Å, b = 12.6565 Å, c = 4.2739 Å
α = 90.00°, β = 90.00°, γ = 90.00°
Element x y z (fractional)
Y 0.0000 0.0000 0.0000
Y 0.1142 0.3858 0.5000
Y 0.1755 0.6755 0.5000
Y 0.3245 0.1755 0.5000
Y 0.3858 0.8858 0.5000
Y 0.5000 0.5000 0.0000
Y 0.6142 0.1142 0.5000
Y 0.6755 0.8245 0.5000
Y 0.8245 0.3245 0.5000
Y 0.8858 0.6142 0.5000
Si 0.0013 0.8426 0.5000
Si 0.0664 0.5664 0.0000
Si 0.1574 0.0013 0.5000
Si 0.1640 0.2012 0.0000
Si 0.2012 0.8360 0.0000
Si 0.2988 0.3360 0.0000
Si 0.3360 0.7012 0.0000
Si 0.3426 0.5013 0.5000
Si 0.4336 0.0664 0.0000
Si 0.4987 0.3426 0.5000
Si 0.5013 0.6574 0.5000
Si 0.5664 0.9336 0.0000
Si 0.6574 0.4987 0.5000
Si 0.6640 0.2988 0.0000
Si 0.7012 0.6640 0.0000
Si 0.7988 0.1640 0.0000
Si 0.8360 0.7988 0.0000
Si 0.8426 0.9987 0.5000
Si 0.9336 0.4336 0.0000
Si 0.9987 0.1574 0.5000
Ir 0.0200 0.7554 0.0000
Ir 0.2446 0.0200 0.0000
Ir 0.2554 0.5200 0.0000
Ir 0.4800 0.2554 0.0000
Ir 0.5200 0.7446 0.0000
Ir 0.7446 0.4800 0.0000
Ir 0.7554 0.9800 0.0000
Ir 0.9800 0.2446 0.0000

Largest 10 diffraction maxima, in order of rising 2θ, 2θ = 5–70°:
Position (°2θ)	I_rel
19.8	63
20.8	28
28.2	29
28.9	60
35.3	100
36.0	30
40.3	25
42.3	34
45.3	27
50.3	23

---

# 9
This entry pairs a crystal structure of CdFeRu2 with its simulated powder diffractogram. Radiation: λ = 1.5418 Å (Cu Kα). Structure: a cell relaxed with GGA-PBE.
Lines closer than 0.1° are merged.

Crystal structure
a = 2.7206 Å, b = 2.7206 Å, c = 9.2010 Å
α = 90.00°, β = 90.00°, γ = 116.33°
Element x y z (fractional)
Cd 0.0000 0.0000 0.0000
Fe 0.5000 0.5000 0.7367
Ru 0.0000 0.0000 0.5113
Ru 0.5000 0.5000 0.2725

Largest 10 diffraction maxima, in order of rising 2θ, 2θ = 5–70°:
Position (°2θ)	I_rel
9.6	8
19.3	5
29.1	4
38.2	3
39.0	32
39.2	28
41.9	100
56.4	19
63.3	3
65.0	7

---

# 10
This entry pairs a crystal structure of K4MnBr6 with its simulated powder diffractogram. Radiation: λ = 1.5418 Å (Cu Kα). Structure: a cell relaxed with GGA-PBE.
Lines closer than 0.1° are merged.

Crystal structure
a = 9.0825 Å, b = 9.0825 Å, c = 9.0825 Å
α = 89.75°, β = 89.75°, γ = 89.75°
Element x y z (fractional)
K 0.1295 0.7500 0.3705
K 0.2500 0.2500 0.2500
K 0.2500 0.6295 0.8705
K 0.3705 0.1295 0.7500
K 0.6295 0.8705 0.2500
K 0.7500 0.3705 0.1295
K 0.7500 0.7500 0.7500
K 0.8705 0.2500 0.6295
Mn 0.0000 0.0000 0.0000
Mn 0.5000 0.5000 0.5000
Br 0.0554 0.9337 0.7119
Br 0.0663 0.2881 0.9446
Br 0.2119 0.4337 0.5554
Br 0.2881 0.9446 0.0663
Br 0.4337 0.5554 0.2119
Br 0.4446 0.7881 0.5663
Br 0.5554 0.2119 0.4337
Br 0.5663 0.4446 0.7881
Br 0.7119 0.0554 0.9337
Br 0.7881 0.5663 0.4446
Br 0.9337 0.7119 0.0554
Br 0.9446 0.0663 0.2881

Largest 10 diffraction maxima, in order of rising 2θ, 2θ = 5–70°:
Position (°2θ)	I_rel
13.8	50
21.9	16
23.9	16
24.0	20
29.6	50
31.1	68
32.7	100
34.0	21
42.2	16
49.3	15

---

# 11
This entry pairs a crystal structure of La9PmSm2 with its simulated powder diffractogram. Radiation: λ = 1.5418 Å (Cu Kα). Structure: a cell relaxed with GGA-PBE.
Lines closer than 0.1° are merged.

Crystal structure
a = 5.2306 Å, b = 5.2306 Å, c = 15.6966 Å
α = 90.00°, β = 90.00°, γ = 90.00°
Element x y z (fractional)
La 0.0000 0.0000 0.0000
La 0.0000 0.0000 0.3334
La 0.0000 0.0000 0.6666
La 0.0000 0.5000 0.1668
La 0.0000 0.5000 0.5000
La 0.0000 0.5000 0.8332
La 0.5000 0.0000 0.1668
La 0.5000 0.0000 0.5000
La 0.5000 0.0000 0.8332
Pm 0.5000 0.5000 0.0000
Sm 0.5000 0.5000 0.3334
Sm 0.5000 0.5000 0.6666

Largest 5 diffraction maxima, in order of rising 2θ, 2θ = 5–70°:
Position (°2θ)	I_rel
29.6	100
34.3	51
49.3	36
58.5	43
61.4	12

---

# 12
This entry pairs a crystal structure of Th3Ga5Cu6 with its simulated powder diffractogram. Radiation: λ = 1.5418 Å (Cu Kα). Structure: a cell relaxed with GGA-PBE.
Lines closer than 0.1° are merged.

Crystal structure
a = 8.1875 Å, b = 8.1875 Å, c = 8.1875 Å
α = 148.80°, β = 115.88°, γ = 73.03°
Element x y z (fractional)
Th 0.0000 0.0000 0.0000
Th 0.3008 0.3008 0.0000
Th 0.6992 0.6992 0.0000
Ga 0.0111 0.6555 0.3555
Ga 0.3000 0.6555 0.6445
Ga 0.5000 0.0000 0.5000
Ga 0.7000 0.3445 0.3555
Ga 0.9889 0.3445 0.6445
Cu 0.1420 0.8619 0.2801
Cu 0.3172 0.5000 0.8172
Cu 0.4182 0.1381 0.2801
Cu 0.5818 0.8619 0.7199
Cu 0.6828 0.5000 0.1828
Cu 0.8580 0.1381 0.7199

Largest 10 diffraction maxima, in order of rising 2θ, 2θ = 5–70°:
Position (°2θ)	I_rel
22.7	39
28.7	26
34.2	20
35.5	100
37.2	57
39.7	15
41.0	33
41.2	15
56.6	21
69.5	15